Record 1
Starting from a GGA-PBE-relaxed structure, the X-ray diffraction stick pattern of La4TbTl2 was computed for Cu Kα, 1.54184 Å.

Peak list (10 most intense, 2θ from 10° to 80°, sorted by position)
2θ = 12.89°, intensity 12
2θ = 31.00°, intensity 10
2θ = 31.57°, intensity 100
2θ = 32.48°, intensity 21
2θ = 33.70°, intensity 18
2θ = 35.77°, intensity 21
2θ = 40.12°, intensity 11
2θ = 49.96°, intensity 12
2θ = 54.84°, intensity 12
2θ = 61.65°, intensity 15

Unit cell a=8.9911 b=10.6375 c=5.0210 alpha=90.00 beta=90.00 gamma=90.00
Space group Cmmm (No. 65)
Unique sites:
La 0.2065 0.0000 0.0000 (multiplicity 4)
La 0.2500 0.2500 0.5000 (multiplicity 4)
Tb 0.0000 0.5000 0.5000 (multiplicity 2)
Tl 0.0000 0.2876 0.0000 (multiplicity 4)

Record 2
Starting from a GGA-PBE-relaxed structure, the X-ray diffraction stick pattern of La3Tb2Tl7 was computed for Cu Kα, 1.54184 Å.

Peak list (10 most intense, 2θ from 10° to 80°, sorted by position)
2θ = 15.35°, intensity 13
2θ = 29.02°, intensity 28
2θ = 30.99°, intensity 43
2θ = 32.31°, intensity 39
2θ = 34.38°, intensity 100
2θ = 45.38°, intensity 31
2θ = 57.33°, intensity 23
2θ = 58.96°, intensity 23
2θ = 65.93°, intensity 12
2θ = 76.70°, intensity 11

Unit cell a=5.5413 b=24.0957 c=5.7707 alpha=90.00 beta=90.00 gamma=90.00
Space group Cmmm (No. 65)
Unique sites:
La 0.0000 0.0000 0.0000 (multiplicity 2)
La 0.0000 0.1666 0.0000 (multiplicity 4)
Tb 0.0000 0.3579 0.5000 (multiplicity 4)
Tl 0.0000 0.0772 0.5000 (multiplicity 4)
Tl 0.0000 0.2269 0.5000 (multiplicity 4)
Tl 0.0000 0.4153 0.0000 (multiplicity 4)
Tl 0.0000 0.5000 0.5000 (multiplicity 2)

Record 3
Starting from a GGA-PBE-relaxed structure, the X-ray diffraction stick pattern of La3Tb7Tl2 was computed for Cu Kα, 1.54184 Å.

Peak list (10 most intense, 2θ from 10° to 80°, sorted by position)
2θ = 28.84°, intensity 32
2θ = 30.18°, intensity 34
2θ = 30.86°, intensity 100
2θ = 31.07°, intensity 66
2θ = 31.14°, intensity 23
2θ = 31.90°, intensity 60
2θ = 33.78°, intensity 37
2θ = 34.30°, intensity 41
2θ = 49.94°, intensity 34
2θ = 61.64°, intensity 26

Unit cell a=5.7761 b=3.6543 c=18.6187 alpha=90.00 beta=93.86 gamma=90.00
Space group P2/m (No. 10)
Unique sites:
La 0.0000 0.0000 0.0000 (multiplicity 1)
La 0.2787 0.5000 0.6377 (multiplicity 2)
Tb 0.1789 0.5000 0.1508 (multiplicity 2)
Tb 0.2409 0.0000 0.4597 (multiplicity 2)
Tb 0.3163 0.0000 0.8339 (multiplicity 2)
Tb 0.5000 0.5000 0.0000 (multiplicity 1)
Tl 0.2039 0.0000 0.2917 (multiplicity 2)

Record 4
Starting from a GGA-PBE-relaxed structure, the X-ray diffraction stick pattern of La5TbTl2 was computed for Cu Kα, 1.54184 Å.

Peak list (10 most intense, 2θ from 10° to 80°, sorted by position)
2θ = 18.07°, intensity 11
2θ = 25.98°, intensity 11
2θ = 31.56°, intensity 100
2θ = 31.83°, intensity 59
2θ = 35.59°, intensity 17
2θ = 41.32°, intensity 20
2θ = 45.43°, intensity 22
2θ = 56.20°, intensity 20
2θ = 56.37°, intensity 24
2θ = 65.90°, intensity 12

Unit cell a=5.6696 b=5.6696 c=20.5779 alpha=90.00 beta=90.00 gamma=120.00
Space group P6_3/mmc (No. 194)
Unique sites:
La 0.0000 0.0000 0.1607 (multiplicity 4)
La 0.3333 0.6667 0.0625 (multiplicity 4)
La 0.3333 0.6667 0.2500 (multiplicity 2)
Tb 0.3333 0.6667 0.7500 (multiplicity 2)
Tl 0.3333 0.6667 0.5971 (multiplicity 4)

Record 5
Starting from a GGA-PBE-relaxed structure, the X-ray diffraction stick pattern of La2TbTl2 was computed for Cu Kα, 1.54184 Å.

Peak list (10 most intense, 2θ from 10° to 80°, sorted by position)
2θ = 18.62°, intensity 12
2θ = 28.52°, intensity 17
2θ = 30.52°, intensity 100
2θ = 34.17°, intensity 36
2θ = 37.75°, intensity 19
2θ = 39.17°, intensity 18
2θ = 43.66°, intensity 13
2θ = 51.82°, intensity 23
2θ = 63.43°, intensity 18
2θ = 63.71°, intensity 12

Unit cell a=8.2986 b=8.2986 c=4.7666 alpha=90.00 beta=90.00 gamma=90.00
Space group P4/mbm (No. 127)
Unique sites:
La 0.1687 0.3313 0.0000 (multiplicity 4)
Tb 0.0000 0.0000 0.5000 (multiplicity 2)
Tl 0.1314 0.6314 0.5000 (multiplicity 4)

Record 6
Starting from a GGA-PBE-relaxed structure, the X-ray diffraction stick pattern of La16Tb6Tm7 was computed for Cu Kα, 1.54184 Å.

Peak list (10 most intense, 2θ from 10° to 80°, sorted by position)
2θ = 15.48°, intensity 5
2θ = 26.99°, intensity 6
2θ = 28.66°, intensity 5
2θ = 31.26°, intensity 100
2θ = 32.73°, intensity 4
2θ = 35.06°, intensity 4
2θ = 44.80°, intensity 16
2θ = 55.64°, intensity 30
2θ = 65.21°, intensity 9
2θ = 74.10°, intensity 10

Unit cell a=16.1853 b=16.1853 c=16.1853 alpha=90.00 beta=90.00 gamma=90.00
Space group Fm-3m (No. 225)
Unique sites:
La 0.1257 0.1257 0.1257 (multiplicity 32)
La 0.1475 0.1475 0.3525 (multiplicity 32)
Tb 0.0000 0.0000 0.2595 (multiplicity 24)
Tm 0.0000 0.0000 0.0000 (multiplicity 4)
Tm 0.0000 0.2500 0.2500 (multiplicity 24)

Record 7
Starting from a GGA-PBE-relaxed structure, the X-ray diffraction stick pattern of LaTb4Tm5 was computed for Cu Kα, 1.54184 Å.

Peak list (10 most intense, 2θ from 10° to 80°, sorted by position)
2θ = 29.28°, intensity 39
2θ = 30.79°, intensity 15
2θ = 31.26°, intensity 72
2θ = 32.12°, intensity 55
2θ = 32.56°, intensity 52
2θ = 32.96°, intensity 100
2θ = 33.51°, intensity 18
2θ = 34.78°, intensity 18
2θ = 42.38°, intensity 14
2θ = 50.14°, intensity 18

Unit cell a=3.5391 b=6.6225 c=14.1773 alpha=98.82 beta=93.67 gamma=103.24
Space group P-1 (No. 2)
Unique sites:
La 0.0000 0.0000 0.0000 (multiplicity 1)
Tb 0.1113 0.8050 0.2198 (multiplicity 2)
Tb 0.2045 0.7293 0.8013 (multiplicity 2)
Tm 0.2059 0.8815 0.5823 (multiplicity 2)
Tm 0.4948 0.4277 0.6108 (multiplicity 2)
Tm 0.5000 0.5000 0.0000 (multiplicity 1)

Record 8
Starting from a GGA-PBE-relaxed structure, the X-ray diffraction stick pattern of LaTb3Tm2 was computed for Cu Kα, 1.54184 Å.

Peak list (10 most intense, 2θ from 10° to 80°, sorted by position)
2θ = 29.78°, intensity 27
2θ = 29.81°, intensity 13
2θ = 30.89°, intensity 34
2θ = 32.73°, intensity 100
2θ = 37.16°, intensity 22
2θ = 49.08°, intensity 10
2θ = 50.94°, intensity 25
2θ = 56.11°, intensity 14
2θ = 60.77°, intensity 30
2θ = 61.87°, intensity 16

Unit cell a=3.5882 b=18.6177 c=11.5784 alpha=90.00 beta=90.00 gamma=90.00
Space group Cmcm (No. 63)
Unique sites:
La 0.0000 0.2206 0.2500 (multiplicity 4)
Tb 0.0000 0.1073 0.7500 (multiplicity 4)
Tb 0.0000 0.3357 0.0030 (multiplicity 8)
Tm 0.0000 0.0000 0.0000 (multiplicity 4)
Tm 0.0000 0.4463 0.7500 (multiplicity 4)

Record 9
Starting from a GGA-PBE-relaxed structure, the X-ray diffraction stick pattern of La12Tb5Tm was computed for Cu Kα, 1.54184 Å.

Peak list (10 most intense, 2θ from 10° to 80°, sorted by position)
2θ = 29.73°, intensity 100
2θ = 29.89°, intensity 98
2θ = 34.32°, intensity 34
2θ = 34.68°, intensity 66
2θ = 49.60°, intensity 60
2θ = 58.65°, intensity 15
2θ = 58.74°, intensity 14
2θ = 59.04°, intensity 28
2θ = 59.32°, intensity 28
2θ = 62.10°, intensity 12

Unit cell a=19.0999 b=10.9314 c=6.3827 alpha=90.00 beta=109.15 gamma=90.00
Space group C2/m (No. 12)
Unique sites:
La 0.0000 0.1702 0.0000 (multiplicity 4)
La 0.0000 0.3280 0.5000 (multiplicity 4)
La 0.1665 0.1708 0.8329 (multiplicity 8)
La 0.1667 0.3291 0.3330 (multiplicity 8)
Tb 0.0000 0.5000 0.0000 (multiplicity 2)
Tb 0.1663 0.0000 0.3341 (multiplicity 4)
Tb 0.1666 0.5000 0.8328 (multiplicity 4)
Tm 0.0000 0.0000 0.5000 (multiplicity 2)

Record 10
Starting from a GGA-PBE-relaxed structure, the X-ray diffraction stick pattern of La7Tb3Tm was computed for Cu Kα, 1.54184 Å.

Peak list (10 most intense, 2θ from 10° to 80°, sorted by position)
2θ = 28.39°, intensity 23
2θ = 30.17°, intensity 13
2θ = 30.47°, intensity 29
2θ = 30.94°, intensity 86
2θ = 31.31°, intensity 64
2θ = 31.52°, intensity 100
2θ = 31.75°, intensity 68
2θ = 32.46°, intensity 59
2θ = 51.59°, intensity 20
2θ = 61.64°, intensity 17

Unit cell a=7.0879 b=10.2473 c=12.0760 alpha=103.93 beta=98.71 gamma=108.91
Space group P1 (No. 1)
Unique sites:
La 0.0000 0.0000 0.0000 (multiplicity 1)
La 0.0211 0.8641 0.2469 (multiplicity 1)
La 0.1497 0.4919 0.7125 (multiplicity 1)
La 0.1788 0.3538 0.9827 (multiplicity 1)
La 0.2320 0.1272 0.7445 (multiplicity 1)
La 0.3328 0.8809 0.5222 (multiplicity 1)
La 0.4075 0.5430 0.4910 (multiplicity 1)
La 0.4616 0.9590 0.8994 (multiplicity 1)
La 0.5311 0.9485 0.2074 (multiplicity 1)
La 0.6359 0.4245 0.7333 (multiplicity 1)
La 0.7029 0.3819 0.0369 (multiplicity 1)
La 0.7975 0.8842 0.4855 (multiplicity 1)
La 0.8767 0.5531 0.4321 (multiplicity 1)
La 0.9545 0.2616 0.2387 (multiplicity 1)
Tb 0.2056 0.1925 0.4818 (multiplicity 1)
Tb 0.3579 0.6154 0.2378 (multiplicity 1)
Tb 0.4191 0.2605 0.2393 (multiplicity 1)
Tb 0.5810 0.6753 0.9802 (multiplicity 1)
Tb 0.7728 0.1351 0.7431 (multiplicity 1)
Tb 0.8400 0.7762 0.7313 (multiplicity 1)
Tm 0.0828 0.6742 0.9772 (multiplicity 1)
Tm 0.7127 0.2127 0.4809 (multiplicity 1)

Record 11
Starting from a GGA-PBE-relaxed structure, the X-ray diffraction stick pattern of La5Tb3Tm was computed for Cu Kα, 1.54184 Å.

Peak list (10 most intense, 2θ from 10° to 80°, sorted by position)
2θ = 25.91°, intensity 27
2θ = 28.19°, intensity 21
2θ = 30.00°, intensity 38
2θ = 30.40°, intensity 100
2θ = 31.13°, intensity 100
2θ = 31.38°, intensity 83
2θ = 32.03°, intensity 76
2θ = 34.00°, intensity 36
2θ = 54.79°, intensity 21
2θ = 58.66°, intensity 37

Unit cell a=15.8317 b=8.8468 c=11.3117 alpha=90.00 beta=126.82 gamma=90.00
Space group C2/c (No. 15)
Unique sites:
La 0.0000 0.0390 0.2500 (multiplicity 4)
La 0.0699 0.3240 0.1086 (multiplicity 8)
La 0.1680 0.0523 0.6504 (multiplicity 8)
Tb 0.1858 0.3824 0.5086 (multiplicity 8)
Tb 0.2500 0.2500 0.0000 (multiplicity 4)
Tm 0.0000 0.3679 0.7500 (multiplicity 4)

Record 12
Starting from a GGA-PBE-relaxed structure, the X-ray diffraction stick pattern of La2Tb5Tm2 was computed for Cu Kα, 1.54184 Å.

Peak list (10 most intense, 2θ from 10° to 80°, sorted by position)
2θ = 30.69°, intensity 17
2θ = 30.88°, intensity 68
2θ = 31.21°, intensity 68
2θ = 31.66°, intensity 35
2θ = 32.23°, intensity 100
2θ = 37.70°, intensity 23
2θ = 39.26°, intensity 23
2θ = 49.93°, intensity 17
2θ = 60.07°, intensity 18
2θ = 65.28°, intensity 15

Unit cell a=3.6528 b=7.3747 c=11.8933 alpha=94.95 beta=98.83 gamma=104.33
Space group P-1 (No. 2)
Unique sites:
La 0.2382 0.3316 0.1459 (multiplicity 2)
Tb 0.0141 0.7102 0.3181 (multiplicity 2)
Tb 0.4955 0.8814 0.1087 (multiplicity 2)
Tb 0.5000 0.5000 0.5000 (multiplicity 1)
Tm 0.2498 0.8908 0.6088 (multiplicity 2)